[1]
Starting from a crystal structure in Alexandria, relaxed with PBE, the XRD peak list of NaUAg2Cl8 was simulated for Cu Kα X-rays.
Peak positions follow from Bragg's law for the DFT cell and can differ from measured ones.

Structure:
```
NaUAg2Cl8
1.0
6.6365 0.0000 0.0000
-1.4036 6.8466 0.0000
-0.0337 -2.2610 8.2871
Na U Ag Cl
1 1 2 8
Direct
0.0000 0.0000 0.0000 Na
0.0000 0.0000 0.5000 U
0.4688 0.6352 0.1725 Ag
0.5312 0.3648 0.8275 Ag
0.1155 0.7768 0.2433 Cl
0.1275 0.8004 0.6707 Cl
0.3500 0.2410 0.5388 Cl
0.3730 0.2459 0.0666 Cl
0.6270 0.7541 0.9334 Cl
0.6500 0.7590 0.4612 Cl
0.8725 0.1996 0.3293 Cl
0.8845 0.2232 0.7567 Cl
```

The 10 most intense peaks (2θ from 10° to 90°), by angle:
| Position (°2θ) | Rel. int. |
| --- | --- |
| 14.79 | 100 |
| 16.85 | 32 |
| 17.04 | 63 |
| 17.85 | 51 |
| 21.10 | 46 |
| 24.81 | 22 |
| 27.49 | 24 |
| 33.25 | 22 |
| 44.00 | 24 |
| 46.21 | 28 |

***

[2]
Starting from a crystal structure in Alexandria, relaxed with PBE, the XRD peak list of Na3ZnAg3Cl8 was simulated for Cu Kα X-rays.
Peak positions follow from Bragg's law for the DFT cell and can differ from measured ones.

Structure:
```
Na3ZnAg3Cl8
1.0
6.8996 -3.9320 0.0000
6.8996 3.9320 0.0000
-4.5055 0.0000 6.5087
Na Zn Ag Cl
3 1 3 8
Direct
0.0000 0.0000 0.0000 Na
0.0000 0.5000 0.5000 Na
0.5000 0.0000 0.5000 Na
0.0000 0.0000 0.5000 Zn
0.0000 0.5000 0.0000 Ag
0.5000 0.0000 0.0000 Ag
0.5000 0.5000 0.5000 Ag
0.2234 0.2234 0.7277 Cl
0.2259 0.7717 0.7207 Cl
0.2283 0.7741 0.2793 Cl
0.2476 0.2476 0.2451 Cl
0.7524 0.7524 0.7549 Cl
0.7717 0.2259 0.7207 Cl
0.7741 0.2283 0.2793 Cl
0.7766 0.7766 0.2723 Cl
```

The 10 most intense peaks (2θ from 10° to 90°), by angle:
| Position (°2θ) | Rel. int. |
| --- | --- |
| 13.67 | 96 |
| 26.06 | 17 |
| 26.48 | 29 |
| 31.54 | 52 |
| 32.09 | 100 |
| 45.52 | 34 |
| 45.71 | 33 |
| 45.85 | 16 |
| 46.17 | 16 |
| 56.99 | 16 |

***

[3]
Starting from a crystal structure in Alexandria, relaxed with PBE, the XRD peak list of NbAg2Cl6 was simulated for Cu Kα X-rays.
Peak positions follow from Bragg's law for the DFT cell and can differ from measured ones.

Structure:
```
NbAg2Cl6
1.0
3.3919 1.9583 6.0514
-3.3919 1.9583 6.0514
0.0000 -3.9166 6.0514
Nb Ag Cl
1 2 6
Direct
0.0000 0.0000 0.0000 Nb
0.2558 0.2558 0.2558 Ag
0.7442 0.7442 0.7442 Ag
0.1059 0.7731 0.3561 Cl
0.2269 0.6439 0.8941 Cl
0.3561 0.1059 0.7731 Cl
0.6439 0.8941 0.2269 Cl
0.7731 0.3561 0.1059 Cl
0.8941 0.2269 0.6439 Cl
```

The 10 most intense peaks (2θ from 10° to 90°), by angle:
| Position (°2θ) | Rel. int. |
| --- | --- |
| 14.64 | 28 |
| 15.86 | 44 |
| 24.79 | 100 |
| 26.27 | 49 |
| 29.52 | 29 |
| 30.21 | 60 |
| 36.43 | 62 |
| 45.47 | 47 |
| 46.37 | 47 |
| 58.11 | 26 |